# 1
# Mg2Cd8Ag3
Theoretical X-ray powder pattern, Cu Ka. Input: a PBE-relaxed structure.

Principal peaks in the range 2θ = 10–90°, by angle:
two_theta  d [Å]  I (rel.)
14.1  6.274  22.4
29.8  3.001  37.0
36.9  2.439  52.7
37.5  2.398  100.0
37.7  2.389  58.4
38.1  2.362  25.8
38.4  2.347  42.9
40.0  2.255  18.9
41.5  2.175  29.6
69.5  1.352  29.4

Atomic structure:
```
data_Mg2Cd8Ag3
_symmetry_space_group_name_H-M 'P 1'
_symmetry_Int_Tables_number 1
_cell_length_a 7.5027
_cell_length_b 7.5027
_cell_length_c 5.6766
_cell_angle_alpha 96.87
_cell_angle_beta 96.87
_cell_angle_gamma 64.71
loop_
_symmetry_equiv_pos_as_xyz
'x,y,z'
loop_
_atom_site_label
_atom_site_fract_x
_atom_site_fract_y
_atom_site_fract_z
_atom_site_occupancy
Mg1 0.1895 0.1895 0.2642 1
Mg2 0.8105 0.8105 0.7358 1
Cd1 0.1989 0.1989 0.7818 1
Cd2 0.1988 0.5677 0.5573 1
Cd3 0.4007 0.4007 0.0944 1
Cd4 0.4323 0.8012 0.4427 1
Cd5 0.5677 0.1988 0.5573 1
Cd6 0.5993 0.5993 0.9056 1
Cd7 0.8012 0.4323 0.4427 1
Cd8 0.8011 0.8011 0.2182 1
Ag1 0.0000 0.0000 0.5000 1
Ag2 0.1754 0.8246 0.0000 1
Ag3 0.8246 0.1754 0.0000 1
```


# 2
# U2Mn3Ga2
Theoretical X-ray powder pattern, Cu Ka. Input: a PBE-relaxed structure.

Principal peaks in the range 2θ = 10–90°, by angle:
two_theta  d [Å]  I (rel.)
21.9  4.053  46.7
22.7  3.916  26.9
30.0  2.976  64.8
30.5  2.934  27.6
30.8  2.900  62.0
34.7  2.584  100.0
39.8  2.265  24.9
41.8  2.159  44.6
44.1  2.053  43.9
59.1  1.563  30.1

Atomic structure:
```
data_U2Mn3Ga2
_symmetry_space_group_name_H-M 'P 1'
_symmetry_Int_Tables_number 1
_cell_length_a 11.8606
_cell_length_b 4.3190
_cell_length_c 4.6738
_cell_angle_alpha 90.00
_cell_angle_beta 98.25
_cell_angle_gamma 90.00
loop_
_symmetry_equiv_pos_as_xyz
'x,y,z'
loop_
_atom_site_label
_atom_site_fract_x
_atom_site_fract_y
_atom_site_fract_z
_atom_site_occupancy
U1 0.1459 0.0000 0.3809 1
U2 0.3541 0.5000 0.6191 1
U3 0.6459 0.5000 0.3809 1
U4 0.8541 0.0000 0.6191 1
Mn1 0.0000 0.0000 0.0000 1
Mn2 0.2026 0.0000 0.8284 1
Mn3 0.2974 0.5000 0.1716 1
Mn4 0.5000 0.5000 0.0000 1
Mn5 0.7026 0.5000 0.8284 1
Mn6 0.7974 0.0000 0.1716 1
Ga1 0.0927 0.5000 0.8621 1
Ga2 0.4073 0.0000 0.1379 1
Ga3 0.5927 0.0000 0.8621 1
Ga4 0.9073 0.5000 0.1379 1
```